# 1
# TeMoWSe2S
Simulated powder XRD pattern, CuKα. Input: a cell relaxed with GGA-PBE.

Structure:
a b c (Å): 3.346 3.346 38.115
angles (deg): 90.00 90.00 120.00
Element x y z (fractional)
Te 0.000 0.000 0.000
Te 0.000 0.000 0.100
Mo 0.000 0.000 0.486
Mo 0.333 0.667 0.674
W 0.000 0.000 0.862
W 0.333 0.667 0.050
Se 0.000 0.000 0.630
Se 0.000 0.000 0.718
Se 0.333 0.667 0.818
Se 0.333 0.667 0.906
S 0.333 0.667 0.447
S 0.333 0.667 0.526

The 10 most intense peaks (2θ from 10° to 90°), low angle first:
two_theta, Rel. int.
11.61, 100
13.94, 18
30.88, 43
33.07, 14
36.29, 81
37.61, 15
43.93, 47
45.73, 17
54.90, 31
77.62, 13


# 2
# TeMoWSe2S
Simulated powder XRD pattern, CuKα. Input: a cell relaxed with GGA-PBE.

Structure:
a b c (Å): 3.346 3.346 38.104
angles (deg): 90.00 90.00 120.00
Element x y z (fractional)
Te 0.000 0.000 0.000
Te 0.000 0.000 0.100
Mo 0.000 0.000 0.238
Mo 0.000 0.000 0.862
W 0.333 0.667 0.050
W 0.333 0.667 0.426
Se 0.000 0.000 0.382
Se 0.000 0.000 0.470
Se 0.333 0.667 0.818
Se 0.333 0.667 0.906
S 0.333 0.667 0.198
S 0.333 0.667 0.278

The 10 most intense peaks (2θ from 10° to 90°), low angle first:
two_theta, Rel. int.
11.61, 100
13.94, 17
30.88, 39
33.08, 16
36.29, 82
43.94, 47
45.74, 14
54.89, 29
67.59, 13
77.63, 13


# 3
# Te2Mo3WSe2S4
Simulated powder XRD pattern, CuKα. Input: a cell relaxed with GGA-PBE.

Structure:
a b c (Å): 3.309 3.309 38.535
angles (deg): 90.00 90.00 120.00
Element x y z (fractional)
Te 0.000 0.000 0.000
Te 0.000 0.000 0.100
Mo 0.000 0.000 0.238
Mo 0.000 0.000 0.861
Mo 0.667 0.333 0.673
W 0.667 0.333 0.050
Se 0.667 0.333 0.817
Se 0.667 0.333 0.904
S 0.000 0.000 0.634
S 0.000 0.000 0.713
S 0.667 0.333 0.198
S 0.667 0.333 0.277

The 10 most intense peaks (2θ from 10° to 90°), low angle first:
two_theta, Rel. int.
11.48, 100
13.79, 16
31.24, 43
33.36, 14
35.31, 18
36.48, 71
37.78, 21
43.95, 45
45.70, 16
55.56, 32


# 4
# TeMoWSe2S
Simulated powder XRD pattern, CuKα. Input: a cell relaxed with GGA-PBE.

Structure:
a b c (Å): 3.342 3.342 38.022
angles (deg): 90.00 90.00 120.00
Element x y z (fractional)
Te 0.000 0.000 0.000
Te 0.000 0.000 0.100
Mo 0.000 0.000 0.486
Mo 0.333 0.667 0.050
W 0.000 0.000 0.862
W 0.333 0.667 0.674
Se 0.000 0.000 0.630
Se 0.000 0.000 0.718
Se 0.333 0.667 0.442
Se 0.333 0.667 0.530
S 0.333 0.667 0.822
S 0.333 0.667 0.902

The 10 most intense peaks (2θ from 10° to 90°), low angle first:
two_theta, Rel. int.
11.64, 100
13.98, 25
30.93, 47
33.12, 13
36.35, 79
44.02, 46
45.82, 17
54.96, 27
67.68, 13
77.78, 13


# 5
# Te2MoWSeS
Simulated powder XRD pattern, CuKα. Input: a cell relaxed with GGA-PBE.

Structure:
a b c (Å): 3.395 3.395 39.927
angles (deg): 90.00 90.00 120.00
Element x y z (fractional)
Te 0.000 0.000 0.000
Te 0.000 0.000 0.094
Te 0.333 0.667 0.190
Te 0.333 0.667 0.284
Mo 0.000 0.000 0.237
Mo 0.000 0.000 0.860
W 0.333 0.667 0.047
W 0.333 0.667 0.424
Se 0.333 0.667 0.818
Se 0.333 0.667 0.901
S 0.000 0.000 0.386
S 0.000 0.000 0.461

The 10 most intense peaks (2θ from 10° to 90°), low angle first:
two_theta, Rel. int.
11.08, 100
30.42, 48
32.45, 15
34.31, 14
35.43, 77
36.67, 17
42.56, 53
44.24, 17
54.03, 32
75.00, 15


# 6
# Te2MoWSeS
Simulated powder XRD pattern, CuKα. Input: a cell relaxed with GGA-PBE.

Structure:
a b c (Å): 3.398 3.398 38.814
angles (deg): 90.00 90.00 120.00
Element x y z (fractional)
Te 0.000 0.000 0.000
Te 0.000 0.000 0.096
Te 0.333 0.667 0.812
Te 0.333 0.667 0.909
Mo 0.000 0.000 0.485
Mo 0.333 0.667 0.048
W 0.000 0.000 0.860
W 0.333 0.667 0.672
Se 0.000 0.000 0.630
Se 0.000 0.000 0.715
S 0.333 0.667 0.446
S 0.333 0.667 0.523

The 10 most intense peaks (2θ from 10° to 90°), low angle first:
two_theta, Rel. int.
11.40, 100
13.69, 20
30.40, 51
34.51, 17
35.68, 90
36.99, 27
43.16, 52
44.92, 20
53.99, 38
76.10, 16


# 7
# Te2MoWSeS
Simulated powder XRD pattern, CuKα. Input: a cell relaxed with GGA-PBE.

Structure:
a b c (Å): 3.399 3.399 38.723
angles (deg): 90.00 90.00 120.00
Element x y z (fractional)
Te 0.000 0.000 0.000
Te 0.000 0.000 0.097
Te 0.000 0.000 0.375
Te 0.000 0.000 0.473
Mo 0.000 0.000 0.236
Mo 0.333 0.667 0.048
W 0.000 0.000 0.860
W 0.333 0.667 0.424
Se 0.333 0.667 0.818
Se 0.333 0.667 0.903
S 0.333 0.667 0.197
S 0.333 0.667 0.275

The 10 most intense peaks (2θ from 10° to 90°), low angle first:
two_theta, Rel. int.
11.43, 99
30.37, 48
32.54, 15
35.70, 100
38.41, 22
43.21, 53
44.97, 14
53.95, 32
66.38, 16
76.18, 16


# 8
# Te2MoWSeS
Simulated powder XRD pattern, CuKα. Input: a cell relaxed with GGA-PBE.

Structure:
a b c (Å): 3.395 3.395 38.693
angles (deg): 90.00 90.00 120.00
Element x y z (fractional)
Te 0.000 0.000 0.000
Te 0.000 0.000 0.097
Te 0.333 0.667 0.437
Te 0.333 0.667 0.533
Mo 0.000 0.000 0.485
Mo 0.333 0.667 0.673
W 0.000 0.000 0.861
W 0.333 0.667 0.049
Se 0.000 0.000 0.630
Se 0.000 0.000 0.716
S 0.333 0.667 0.822
S 0.333 0.667 0.900

The 10 most intense peaks (2θ from 10° to 90°), low angle first:
two_theta, Rel. int.
11.43, 100
13.73, 21
30.42, 49
35.74, 93
38.45, 20
43.25, 51
45.02, 16
54.02, 30
66.46, 15
76.26, 15


# 9
# TeMoWSe2S
Simulated powder XRD pattern, CuKα. Input: a cell relaxed with GGA-PBE.

Structure:
a b c (Å): 3.344 3.344 38.085
angles (deg): 90.00 90.00 120.00
Element x y z (fractional)
Te 0.000 0.000 0.000
Te 0.000 0.000 0.100
Mo 0.000 0.000 0.238
Mo 0.000 0.000 0.862
W 0.333 0.667 0.050
W 0.333 0.667 0.426
Se 0.333 0.667 0.194
Se 0.333 0.667 0.282
Se 0.333 0.667 0.818
Se 0.333 0.667 0.906
S 0.000 0.000 0.386
S 0.000 0.000 0.466

The 10 most intense peaks (2θ from 10° to 90°), low angle first:
two_theta, Rel. int.
11.62, 100
13.95, 16
30.90, 45
33.10, 17
36.31, 81
37.64, 16
43.97, 48
45.76, 16
54.93, 32
77.68, 13


# 10
# Te2MoWSeS
Simulated powder XRD pattern, CuKα. Input: a cell relaxed with GGA-PBE.

Structure:
a b c (Å): 3.396 3.396 39.860
angles (deg): 90.00 90.00 120.00
Element x y z (fractional)
Te 0.000 0.000 0.000
Te 0.000 0.000 0.094
Te 0.333 0.667 0.189
Te 0.333 0.667 0.283
Mo 0.000 0.000 0.236
Mo 0.333 0.667 0.047
W 0.000 0.000 0.860
W 0.333 0.667 0.424
Se 0.000 0.000 0.382
Se 0.000 0.000 0.465
S 0.333 0.667 0.822
S 0.333 0.667 0.898

The 10 most intense peaks (2θ from 10° to 90°), low angle first:
two_theta, Rel. int.
11.10, 100
15.56, 14
30.43, 51
32.45, 14
35.45, 80
36.68, 14
42.60, 54
44.28, 15
54.02, 31
75.06, 15


# 11
# Te2Mo3WSe4S2
Simulated powder XRD pattern, CuKα. Input: a cell relaxed with GGA-PBE.

Structure:
a b c (Å): 3.346 3.346 38.025
angles (deg): 90.00 90.00 120.00
Element x y z (fractional)
Te 0.000 0.000 0.000
Te 0.000 0.000 0.100
Mo 0.000 0.000 0.486
Mo 0.000 0.000 0.862
Mo 0.333 0.667 0.674
W 0.333 0.667 0.050
Se 0.000 0.000 0.631
Se 0.000 0.000 0.718
Se 0.333 0.667 0.443
Se 0.333 0.667 0.530
S 0.333 0.667 0.822
S 0.333 0.667 0.902

The 10 most intense peaks (2θ from 10° to 90°), low angle first:
two_theta, Rel. int.
11.64, 100
13.97, 15
30.87, 43
33.08, 15
36.31, 90
39.08, 23
43.99, 51
45.79, 15
54.88, 30
77.71, 15


# 12
# Te2MoW3Se4S2
Simulated powder XRD pattern, CuKα. Input: a cell relaxed with GGA-PBE.

Structure:
a b c (Å): 3.345 3.345 38.124
angles (deg): 90.00 90.00 120.00
Element x y z (fractional)
Te 0.000 0.000 0.000
Te 0.000 0.000 0.100
Mo 0.333 0.667 0.674
W 0.000 0.000 0.486
W 0.000 0.000 0.862
W 0.333 0.667 0.050
Se 0.333 0.667 0.442
Se 0.333 0.667 0.530
Se 0.333 0.667 0.818
Se 0.333 0.667 0.906
S 0.000 0.000 0.634
S 0.000 0.000 0.714

The 10 most intense peaks (2θ from 10° to 90°), low angle first:
two_theta, Rel. int.
11.61, 100
13.94, 19
30.87, 33
33.08, 14
36.29, 77
39.05, 16
43.93, 43
45.73, 13
54.90, 25
67.59, 12


# 13
# Te2MoWSeS
Simulated powder XRD pattern, CuKα. Input: a cell relaxed with GGA-PBE.

Structure:
a b c (Å): 3.398 3.398 40.803
angles (deg): 90.00 90.00 120.00
Element x y z (fractional)
Te 0.000 0.000 0.000
Te 0.000 0.000 0.092
Te 0.333 0.667 0.809
Te 0.333 0.667 0.900
Mo 0.000 0.000 0.481
Mo 0.000 0.000 0.854
W 0.333 0.667 0.046
W 0.333 0.667 0.668
Se 0.333 0.667 0.440
Se 0.333 0.667 0.521
S 0.000 0.000 0.632
S 0.000 0.000 0.705

The 10 most intense peaks (2θ from 10° to 90°), low angle first:
two_theta, Rel. int.
10.84, 100
13.02, 16
30.40, 41
32.34, 14
35.21, 67
42.09, 51
43.71, 14
53.98, 26
66.09, 12
74.13, 12